Li6Zn5Ni: calculated powder X-ray diffraction pattern (Cu Kα X-rays), based on the GGA-PBE geometry in Alexandria.
Kinematic intensities with the Lorentz-polarization factor, no thermal factor.

Most intense lines, 2θ = 5–70°, sorted by position:
d = 4.043 Å, I = 96, hkl 0 2 0; d = 2.671 Å, I = 63, hkl 1 0 3; d = 2.229 Å, I = 100, hkl 1 2 3; d = 2.021 Å, I = 19, hkl 0 4 0; d = 1.913 Å, I = 16, hkl 2 0 0; d = 1.866 Å, I = 13, hkl 0 0 6; d = 1.729 Å, I = 18, hkl 2 2 0; d = 1.694 Å, I = 13, hkl 0 2 6; d = 1.612 Å, I = 25, hkl 1 4 3; d = 1.389 Å, I = 11, hkl 2 4 0

Structural model:
a b c (Å): 3.8254 8.0858 11.1954
angles (deg): 90.00 90.00 90.00
Space group Immm (No. 71)
Unique sites:
Li 0.0000 0.2478 0.0000
Li 0.0000 0.2478 0.3367
Zn 0.0000 0.0000 0.1752
Zn 0.0000 0.5000 0.1502
Zn 0.0000 0.5000 0.5000
Ni 0.0000 0.0000 0.5000

---

LiAc2In6Pb: calculated powder X-ray diffraction pattern (Cu Kα X-rays), based on the GGA-PBE geometry in Alexandria.
Kinematic intensities with the Lorentz-polarization factor, no thermal factor.

Most intense lines, 2θ = 5–70°, sorted by position:
d = 3.649 Å, I = 56, hkl 1 1 0; d = 3.169 Å, I = 97, hkl 1 1 6; d = 3.118 Å, I = 20, hkl 2 0 2; d = 3.054 Å, I = 40, hkl 0 1 11; d = 2.922 Å, I = 63, hkl 2 0 5; d = 2.738 Å, I = 100, hkl 0 2 7; d = 2.674 Å, I = 61, hkl 1 0 13; d = 2.001 Å, I = 33, hkl 3 0 6; d = 1.857 Å, I = 22, hkl 2 1 13; d = 1.824 Å, I = 50, hkl 2 2 0

Structural model:
a b c (Å): 7.2974 7.2974 38.3684
angles (deg): 90.00 90.00 120.00
Space group R-3m (No. 166, hexagonal axes)
Unique sites:
Li 0.0000 0.0000 0.0000
Li 0.0000 0.0000 0.5000
Ac 0.0000 0.0000 0.1050
Ac 0.0000 0.0000 0.2791
In 0.0394 0.5197 0.3043
In 0.0643 0.5321 0.8601
Pb 0.0000 0.0000 0.4259

---

DyAl2Au5: calculated powder X-ray diffraction pattern (Cu Kα X-rays), based on the GGA-PBE geometry in Alexandria.
Kinematic intensities with the Lorentz-polarization factor, no thermal factor.

Most intense lines, 2θ = 5–70°, sorted by position:
d = 3.100 Å, I = 16, hkl 0 2 2; d = 2.636 Å, I = 69, hkl 1 0 3; d = 2.579 Å, I = 100, hkl 1 2 1; d = 2.227 Å, I = 58, hkl 0 2 4; d = 1.910 Å, I = 17, hkl 1 0 5; d = 1.880 Å, I = 19, hkl 2 0 0; d = 1.869 Å, I = 15, hkl 0 4 0; d = 1.525 Å, I = 21, hkl 1 4 3; d = 1.437 Å, I = 29, hkl 2 2 4; d = 1.360 Å, I = 19, hkl 1 2 7

Structural model:
a b c (Å): 3.7606 7.4767 11.0888
angles (deg): 90.00 90.00 90.00
Space group Immm (No. 71)
Unique sites:
Dy 0.0000 0.0000 0.0000
Al 0.0000 0.5000 0.2374
Au 0.0000 0.2258 0.3665
Au 0.0000 0.5000 0.0000

---

Tb5Al4Ga: calculated powder X-ray diffraction pattern (Cu Kα X-rays), based on the GGA-PBE geometry in Alexandria.
Kinematic intensities with the Lorentz-polarization factor, no thermal factor.

Most intense lines, 2θ = 5–70°, sorted by position:
d = 3.628 Å, I = 24, hkl 0 0 5; d = 3.603 Å, I = 48, hkl 1 0 0; d = 2.556 Å, I = 100, hkl 1 0 5; d = 2.548 Å, I = 50, hkl 1 1 0; d = 2.085 Å, I = 22, hkl 1 1 5; d = 1.802 Å, I = 18, hkl 2 0 0; d = 1.620 Å, I = 10, hkl 1 0 10; d = 1.612 Å, I = 20, hkl 2 1 0; d = 1.478 Å, I = 18, hkl 1 1 10; d = 1.473 Å, I = 36, hkl 2 1 5

Structural model:
a b c (Å): 3.6031 3.6031 18.1394
angles (deg): 90.00 90.00 90.00
Space group P4/mmm (No. 123)
Unique sites:
Tb 0.0000 0.0000 0.0000
Tb 0.0000 0.0000 0.2001
Tb 0.0000 0.0000 0.4016
Al 0.5000 0.5000 0.1002
Al 0.5000 0.5000 0.3004
Ga 0.5000 0.5000 0.5000

---

PuTl3Hg12: calculated powder X-ray diffraction pattern (Cu Kα X-rays), based on the GGA-PBE geometry in Alexandria.
Kinematic intensities with the Lorentz-polarization factor, no thermal factor.

Most intense lines, 2θ = 5–70°, sorted by position:
d = 2.826 Å, I = 100, hkl 1 1 -4; d = 2.688 Å, I = 97, hkl 1 1 4; d = 2.550 Å, I = 40, hkl 0 0 8; d = 2.423 Å, I = 31, hkl 2 0 0; d = 2.219 Å, I = 29, hkl 0 2 0; d = 1.674 Å, I = 23, hkl 0 2 8; d = 1.637 Å, I = 20, hkl 2 2 0; d = 1.544 Å, I = 13, hkl 1 1 -12; d = 1.476 Å, I = 15, hkl 1 1 12; d = 1.355 Å, I = 12, hkl 1 3 4

Structural model:
a b c (Å): 4.8617 4.4381 20.4692
angles (deg): 90.00 94.70 90.00
Space group P2/m (No. 10)
Unique sites:
Pu 0.0000 0.0000 0.0000
Tl 0.0000 0.0000 0.5000
Tl 0.0568 0.0000 0.2472
Hg 0.0075 0.5000 0.3720
Hg 0.0454 0.5000 0.1186
Hg 0.4462 0.5000 0.7597
Hg 0.4606 0.0000 0.8837
Hg 0.4863 0.0000 0.6264
Hg 0.5000 0.5000 0.0000
Hg 0.5000 0.5000 0.5000